1.
Calculated powder X-ray diffraction pattern
Compound: NiO2
Radiation: CuKα
Structure: a crystal structure in the Materials Project, relaxed with PBE+U

Top 8 peaks for 2θ = 10–90°, in order of rising 2θ:
- hkl 0 0 1, 2θ = 19.2°, d 4.618, I = 100
- hkl 1 0 0, 2θ = 37.1°, d 2.424, I = 23
- hkl 1 0 1, 2θ = 42.1°, d 2.146, I = 59
- hkl 1 0 2, 2θ = 54.9°, d 1.672, I = 36
- hkl 1 1 0, 2θ = 66.9°, d 1.399, I = 13
- hkl 1 1 1, 2θ = 70.3°, d 1.339, I = 14
- hkl 0 1 3, 2θ = 72.8°, d 1.299, I = 14
- hkl 0 2 1, 2θ = 82.2°, d 1.172, I = 7

```
NiO2
1.0
2.799 0.000 0.000
-1.399 2.424 0.000
0.000 0.000 4.618
Ni O
1 2
direct
0.000 0.000 0.000 Ni
0.333 0.667 0.794 O
0.667 0.333 0.206 O
```

2.
Calculated powder X-ray diffraction pattern
Compound: Ni4O3
Radiation: CuKα
Structure: a crystal structure in the Materials Project, relaxed with PBE+U

Top 8 peaks for 2θ = 10–90°, in order of rising 2θ:
- hkl 1 0 0, 2θ = 21.3°, d 4.164, I = 2
- hkl 1 1 0, 2θ = 30.4°, d 2.944, I = 2
- hkl 1 1 1, 2θ = 37.4°, d 2.404, I = 98
- hkl 2 0 0, 2θ = 43.5°, d 2.082, I = 100
- hkl 2 1 0, 2θ = 48.9°, d 1.862, I = 1
- hkl 2 2 0, 2θ = 63.2°, d 1.472, I = 58
- hkl 3 1 1, 2θ = 75.8°, d 1.256, I = 36
- hkl 2 2 2, 2θ = 79.8°, d 1.202, I = 18

```
Ni4O3
1.0
4.164 0.000 0.000
0.000 4.164 0.000
0.000 0.000 4.164
Ni O
4 3
direct
0.000 0.000 0.000 Ni
0.000 0.500 0.500 Ni
0.500 0.000 0.500 Ni
0.500 0.500 0.000 Ni
0.000 0.000 0.500 O
0.000 0.500 0.000 O
0.500 0.000 0.000 O
```

3.
Calculated powder X-ray diffraction pattern
Compound: NiO2
Radiation: CuKα
Structure: a crystal structure in the Materials Project, relaxed with PBE+U

Top 8 peaks for 2θ = 10–90°, in order of rising 2θ:
- hkl 0 0 3, 2θ = 19.3°, d 4.607, I = 100
- hkl 0 2 1, 2θ = 37.4°, d 2.405, I = 46
- hkl 2 2 -1, 2θ = 37.4°, d 2.402, I = 11
- hkl 2 0 -2, 2θ = 39.1°, d 2.302, I = 14
- hkl 0 2 4, 2θ = 45.5°, d 1.994, I = 49
- hkl 2 2 -7, 2θ = 60.3°, d 1.534, I = 13
- hkl 0 2 -8, 2θ = 66.2°, d 1.411, I = 16
- hkl 4 2 0, 2θ = 66.4°, d 1.409, I = 17

```
NiO2
1.0
5.633 0.000 0.000
2.812 4.882 0.000
0.010 0.019 13.839
Ni O
12 24
direct
0.000 0.000 0.000 Ni
0.000 0.497 0.000 Ni
0.167 0.665 0.669 Ni
0.332 0.332 0.338 Ni
0.333 0.832 0.338 Ni
0.497 0.000 0.000 Ni
0.501 0.496 0.503 Ni
0.666 0.165 0.670 Ni
0.666 0.665 0.669 Ni
0.831 0.834 0.218 Ni
0.832 0.833 0.835 Ni
0.833 0.332 0.337 Ni
0.011 0.475 0.266 O
0.012 0.011 0.266 O
0.127 0.686 0.923 O
0.166 0.165 0.405 O
0.166 0.166 0.931 O
0.206 0.644 0.417 O
0.320 0.320 0.070 O
0.323 0.852 0.069 O
0.353 0.351 0.592 O
0.354 0.790 0.591 O
0.472 0.012 0.266 O
0.499 0.499 0.270 O
0.500 0.498 0.738 O
0.538 0.979 0.747 O
0.647 0.202 0.416 O
0.647 0.645 0.416 O
0.685 0.686 0.923 O
0.686 0.127 0.923 O
0.794 0.351 0.592 O
0.833 0.832 0.073 O
0.833 0.832 0.601 O
0.851 0.322 0.069 O
0.979 0.539 0.748 O
0.980 0.979 0.747 O
```

4.
Calculated powder X-ray diffraction pattern
Compound: Ni5O11
Radiation: CuKα
Structure: a crystal structure in the Materials Project, relaxed with PBE+U

Top 8 peaks for 2θ = 10–90°, in order of rising 2θ:
- hkl 0 1 -1, 2θ = 16.5°, d 5.379, I = 100
- hkl 0 2 -2, 2θ = 33.3°, d 2.689, I = 7
- hkl -1 1 2, 2θ = 37.0°, d 2.430, I = 9
- hkl -1 2 1, 2θ = 38.1°, d 2.365, I = 11
- hkl 1 0 2, 2θ = 38.4°, d 2.345, I = 22
- hkl 1 -3 0, 2θ = 46.1°, d 1.970, I = 9
- hkl 2 1 -2, 2θ = 46.6°, d 1.948, I = 18
- hkl 2 2 -3, 2θ = 59.5°, d 1.554, I = 7

```
Ni5O11
1.0
4.909 0.000 0.000
-1.672 6.112 0.000
-0.811 -2.737 6.254
Ni O
5 11
direct
0.000 0.000 0.000 Ni
0.202 0.406 0.402 Ni
0.404 0.795 0.802 Ni
0.596 0.205 0.198 Ni
0.798 0.594 0.598 Ni
0.000 0.500 0.000 O
0.045 0.671 0.863 O
0.158 0.705 0.534 O
0.244 0.105 0.273 O
0.356 0.096 0.923 O
0.444 0.490 0.670 O
0.556 0.510 0.330 O
0.644 0.904 0.077 O
0.756 0.895 0.727 O
0.842 0.295 0.466 O
0.955 0.329 0.137 O
```

5.
Calculated powder X-ray diffraction pattern
Compound: Ni9O10
Radiation: CuKα
Structure: a crystal structure in the Materials Project, relaxed with PBE+U

Top 8 peaks for 2θ = 10–90°, in order of rising 2θ:
- hkl -1 2 1, 2θ = 37.3°, d 2.413, I = 92
- hkl 1 0 2, 2θ = 37.4°, d 2.406, I = 90
- hkl 1 0 -3, 2θ = 43.0°, d 2.104, I = 91
- hkl 2 -2 1, 2θ = 43.5°, d 2.081, I = 88
- hkl 1 2 0, 2θ = 43.6°, d 2.076, I = 86
- hkl 1 -2 4, 2θ = 62.8°, d 1.479, I = 100
- hkl 1 -4 1, 2θ = 63.1°, d 1.473, I = 25
- hkl 3 0 1, 2θ = 63.4°, d 1.466, I = 24

```
Ni9O10
1.0
5.097 0.000 0.000
-1.712 5.638 0.000
-0.913 -1.822 6.326
Ni O
9 10
direct
0.000 0.000 0.000 Ni
0.196 0.894 0.393 Ni
0.202 0.403 0.392 Ni
0.386 0.793 0.800 Ni
0.404 0.304 0.807 Ni
0.596 0.696 0.193 Ni
0.614 0.207 0.200 Ni
0.798 0.597 0.608 Ni
0.804 0.106 0.607 Ni
0.098 0.949 0.700 O
0.108 0.448 0.683 O
0.321 0.879 0.111 O
0.323 0.340 0.106 O
0.499 0.247 0.505 O
0.501 0.753 0.495 O
0.677 0.660 0.894 O
0.679 0.121 0.889 O
0.892 0.552 0.317 O
0.902 0.051 0.300 O
```

6.
Calculated powder X-ray diffraction pattern
Compound: NiO2
Radiation: CuKα
Structure: a crystal structure in the Materials Project, relaxed with PBE+U

Top 8 peaks for 2θ = 10–90°, in order of rising 2θ:
- hkl 0 1 1, 2θ = 22.2°, d 3.997, I = 100
- hkl 0 0 2, 2θ = 26.9°, d 3.309, I = 9
- hkl 1 0 1, 2θ = 35.4°, d 2.534, I = 12
- hkl 0 2 0, 2θ = 35.8°, d 2.507, I = 21
- hkl 1 1 2, 2θ = 46.7°, d 1.946, I = 29
- hkl 1 2 1, 2θ = 51.3°, d 1.782, I = 8
- hkl 1 0 3, 2θ = 53.3°, d 1.719, I = 12
- hkl 1 2 3, 2θ = 65.9°, d 1.418, I = 11

```
NiO2
1.0
2.744 0.000 0.000
0.000 5.015 0.000
0.000 0.000 6.617
Ni O
2 4
direct
0.000 0.000 0.000 Ni
0.500 0.500 0.500 Ni
0.000 0.500 0.321 O
0.000 0.500 0.679 O
0.500 0.000 0.179 O
0.500 0.000 0.821 O
```